[1]
This entry pairs a crystal structure of Ba2YMgNi3O8 with its computed X-ray diffraction stick pattern. Radiation: Cu Kα, 1.54184 Å. Structure: a GGA+U-relaxed structure.

Lattice parameters (Å, degrees): 3.986 3.986 13.140 90.00 90.00 90.00
Element x y z (fractional)
Ba1 0.000 0.000 0.144
Ba2 0.000 0.000 0.856
Y1 0.000 0.000 0.500
Mg1 0.500 0.500 0.500
Ni1 0.500 0.500 0.000
Ni2 0.500 0.500 0.310
Ni3 0.500 0.500 0.690
O1 0.000 0.500 0.000
O2 0.000 0.500 0.402
O3 0.000 0.500 0.598
O4 0.500 0.000 0.000
O5 0.500 0.000 0.402
O6 0.500 0.000 0.598
O7 0.500 0.500 0.173
O8 0.500 0.500 0.827

Main lines, in order of rising 2θ (10° ≤ 2θ ≤ 90°):
| Position (°2θ) | d [Å] | I (rel.) | index |
| --- | --- | --- | --- |
| 30.3 | 2.948 | 100 | 1 0 3 |
| 31.7 | 2.819 | 55 | 1 1 0 |
| 38.0 | 2.370 | 17 | 1 1 3 |
| 45.5 | 1.993 | 38 | 2 0 0 |
| 52.9 | 1.729 | 23 | 1 1 6 |
| 55.7 | 1.651 | 35 | 2 1 3 |

[2]
This entry pairs a crystal structure of Ba2YMgNi3O8 with its computed X-ray diffraction stick pattern. Radiation: Cu Kα, 1.54184 Å. Structure: a GGA+U-relaxed structure.

Lattice parameters (Å, degrees): 3.915 3.915 14.823 90.00 90.00 90.00
Element x y z (fractional)
Ba1 0.000 0.000 0.000
Ba2 0.000 0.000 0.495
Y1 0.000 0.000 0.248
Mg1 0.000 0.000 0.748
Ni1 0.500 0.500 0.122
Ni2 0.500 0.500 0.374
Ni3 0.500 0.500 0.747
O1 0.000 0.500 0.151
O2 0.000 0.500 0.345
O3 0.000 0.500 0.748
O4 0.500 0.000 0.151
O5 0.500 0.000 0.345
O6 0.500 0.000 0.748
O7 0.500 0.500 0.509
O8 0.500 0.500 0.987

Main lines, in order of rising 2θ (10° ≤ 2θ ≤ 90°):
| Position (°2θ) | d [Å] | I (rel.) | index |
| --- | --- | --- | --- |
| 24.0 | 3.706 | 37 | 0 0 4 |
| 32.3 | 2.768 | 82 | 1 1 0 |
| 33.3 | 2.691 | 100 | 1 0 4 |
| 40.7 | 2.218 | 44 | 1 1 4 |
| 46.4 | 1.957 | 55 | 2 0 0 |
| 58.3 | 1.583 | 40 | 2 1 4 |